Structure and theoretical powder X-ray diffraction pattern of H3PbSBr3 (a cell relaxed with PBE; Cu Kα, 1.54184 Å).

Principal peaks in the range 10 to 80 degrees two-theta, in order of rising 2θ:
11.2 deg, rel. 100
15.5 deg, rel. 49
20.1 deg, rel. 30
25.8 deg, rel. 97
26.9 deg, rel. 29
30.1 deg, rel. 33
30.2 deg, rel. 30
37.4 deg, rel. 33
37.9 deg, rel. 29
38.1 deg, rel. 31

Structure:
Cell lengths 8.2069, 8.2069, 11.4678 Å; angles 90.38, 90.38, 32.54 degrees
Atoms (fractional coordinates):
H 0.0000 0.0000 0.0000
H 0.2381 0.8117 0.8530
H 0.2808 0.7080 0.4084
H 0.3920 0.3920 0.4671
H 0.7080 0.2808 0.4084
H 0.8117 0.2381 0.8530
Pb 0.7078 0.7078 0.0949
Pb 0.7086 0.7086 0.5806
S 0.4406 0.4406 0.3640
S 0.9656 0.9656 0.8843
Br 0.0758 0.0758 0.1524
Br 0.0782 0.0782 0.5300
Br 0.3236 0.3236 0.0362
Br 0.3306 0.3306 0.6365
Br 0.6373 0.6373 0.8375
Br 0.7772 0.7772 0.3427


Structure and theoretical powder X-ray diffraction pattern of Tm3Zn2Cu2 (a cell relaxed with PBE; Cu Kα, 1.54184 Å).

Principal peaks in the range 10 to 80 degrees two-theta, in order of rising 2θ:
22.3 deg, rel. 36
28.2 deg, rel. 27
28.3 deg, rel. 54
31.8 deg, rel. 23
38.6 deg, rel. 100
42.0 deg, rel. 34
42.3 deg, rel. 17
48.4 deg, rel. 12
58.5 deg, rel. 13
72.1 deg, rel. 13

Structure:
Cell lengths 4.6626, 4.6626, 8.8438 Å; angles 104.87, 104.87, 60.13 degrees
Atoms (fractional coordinates):
Tm 0.0000 0.0000 0.0000
Tm 0.2169 0.2169 0.6473
Tm 0.7831 0.7831 0.3527
Zn 0.4011 0.4011 0.2042
Zn 0.5989 0.5989 0.7958
Cu 0.1026 0.1026 0.3100
Cu 0.8974 0.8974 0.6900


Structure and theoretical powder X-ray diffraction pattern of Y2SeO (a cell relaxed with PBE; Cu Kα, 1.54184 Å).

Principal peaks in the range 10 to 80 degrees two-theta, in order of rising 2θ:
26.7 deg, rel. 100
28.3 deg, rel. 17
35.0 deg, rel. 33
43.5 deg, rel. 15
44.6 deg, rel. 39
47.0 deg, rel. 10
51.7 deg, rel. 16
53.7 deg, rel. 17
62.0 deg, rel. 12
71.5 deg, rel. 13

Structure:
Cell lengths 6.9837, 6.9837, 6.9837 Å; angles 130.14, 130.14, 73.18 degrees
Atoms (fractional coordinates):
Y 0.0519 0.6250 0.9269
Y 0.3750 0.3019 0.4269
Y 0.6981 0.1250 0.0731
Y 0.8750 0.9481 0.5731
Se 0.2500 0.7500 0.5000
Se 0.5000 0.5000 0.0000
O 0.0000 0.0000 0.0000
O 0.7500 0.2500 0.5000